Calculated powder X-ray diffraction pattern of SrMg3 for Cu Kα, from a crystal structure in the Materials Project, relaxed with PBE.

The 8 most intense peaks (2θ from 5° to 70°), in order of rising 2θ:
2θ/deg	d [Å]	intensity
17.9	4.943	40.7
25.5	3.495	35.8
31.3	2.854	100.0
36.4	2.471	49.9
40.8	2.210	20.6
44.9	2.018	15.6
52.4	1.747	34.0
62.3	1.490	39.7

Crystal structure
abc: 4.943 4.943 4.943
angles: 90.00 90.00 90.00
Positions (direct):
Sr  0.000  0.000  0.000
Mg  0.000  0.500  0.500
Mg  0.500  0.000  0.500
Mg  0.500  0.500  0.000

Calculated powder X-ray diffraction pattern of Sr3Mg for Cu Kα, from a crystal structure in the Materials Project, relaxed with PBE.

The 8 most intense peaks (2θ from 5° to 70°), in order of rising 2θ:
2θ/deg	d [Å]	intensity
25.8	3.452	23.1
27.6	3.235	26.2
29.3	3.045	100.0
38.1	2.360	16.4
45.5	1.993	19.3
49.9	1.829	22.3
54.0	1.697	23.1
55.1	1.667	16.3

Crystal structure
abc: 7.971 7.971 6.471
angles: 90.00 90.00 120.00
Positions (direct):
Sr  0.171  0.342  0.250
Sr  0.171  0.829  0.250
Sr  0.342  0.171  0.750
Sr  0.658  0.829  0.250
Sr  0.829  0.171  0.750
Sr  0.829  0.658  0.750
Mg  0.333  0.667  0.750
Mg  0.667  0.333  0.250

Calculated powder X-ray diffraction pattern of SrMg for Cu Kα, from a crystal structure in the Materials Project, relaxed with PBE.

The 8 most intense peaks (2θ from 5° to 70°), in order of rising 2θ:
2θ/deg	d [Å]	intensity
24.6	3.614	35.1
25.3	3.525	23.7
27.1	3.294	20.5
29.9	2.992	100.0
42.1	2.146	15.9
43.4	2.086	27.6
52.3	1.749	18.6
53.5	1.711	18.8

Crystal structure
abc: 4.173 4.173 16.009
angles: 90.00 90.00 120.00
Positions (direct):
Sr  0.000  0.000  0.000
Sr  0.000  0.000  0.335
Sr  0.667  0.333  0.550
Mg  0.000  0.000  0.717
Mg  0.667  0.333  0.168
Mg  0.667  0.333  0.835

Calculated powder X-ray diffraction pattern of SrMg5 for Cu Kα, from a crystal structure in the Materials Project, relaxed with PBE.

The 8 most intense peaks (2θ from 5° to 70°), in order of rising 2θ:
2θ/deg	d [Å]	intensity
18.4	4.816	23.9
20.5	4.336	21.3
30.9	2.895	27.8
31.1	2.878	29.2
34.7	2.586	100.0
44.4	2.041	20.0
57.6	1.599	22.1
64.5	1.445	20.1

Crystal structure
abc: 6.656 6.656 6.656
angles: 51.57 51.57 51.57
Positions (direct):
Sr  0.000  0.000  0.000
Mg  0.173  0.827  0.500
Mg  0.334  0.334  0.334
Mg  0.500  0.173  0.827
Mg  0.666  0.666  0.666
Mg  0.827  0.500  0.173

Calculated powder X-ray diffraction pattern of SrMg2 for Cu Kα, from a crystal structure in the Materials Project, relaxed with PBE.

The 8 most intense peaks (2θ from 5° to 70°), in order of rising 2θ:
2θ/deg	d [Å]	intensity
14.3	6.189	47.3
22.4	3.977	30.9
22.5	3.957	34.5
25.0	3.568	48.3
30.3	2.951	58.6
30.5	2.927	44.1
32.2	2.784	100.0
32.4	2.765	94.0

Crystal structure
abc: 13.100 3.726 8.376
angles: 90.00 109.11 90.00
Positions (direct):
Sr  0.017  0.000  0.268
Sr  0.483  0.500  0.732
Sr  0.517  0.500  0.268
Sr  0.983  0.000  0.732
Mg  0.176  0.500  0.056
Mg  0.196  0.500  0.639
Mg  0.304  0.000  0.361
Mg  0.324  0.000  0.944
Mg  0.676  0.000  0.056
Mg  0.696  0.000  0.639
Mg  0.804  0.500  0.361
Mg  0.824  0.500  0.944

Calculated powder X-ray diffraction pattern of SrMg for Cu Kα, from a crystal structure in the Materials Project, relaxed with PBE.

The 8 most intense peaks (2θ from 5° to 70°), in order of rising 2θ:
2θ/deg	d [Å]	intensity
11.1	7.983	29.3
19.5	4.547	24.5
24.8	3.592	40.3
26.5	3.370	33.7
29.5	3.028	49.4
29.8	2.997	100.0
30.9	2.895	77.6
31.7	2.825	30.2

Crystal structure
abc: 14.020 4.031 8.324
angles: 90.00 106.45 90.00
Positions (direct):
Sr  0.000  0.000  0.000
Sr  0.127  0.500  0.697
Sr  0.340  0.000  0.597
Sr  0.500  0.500  0.000
Sr  0.627  0.000  0.697
Sr  0.840  0.500  0.597
Mg  0.185  0.500  0.287
Mg  0.289  0.000  0.073
Mg  0.448  0.500  0.366
Mg  0.685  0.000  0.287
Mg  0.789  0.500  0.073
Mg  0.948  0.000  0.366

Calculated powder X-ray diffraction pattern of SrMg for Cu Kα, from a crystal structure in the Materials Project, relaxed with PBE.

The 8 most intense peaks (2θ from 5° to 70°), in order of rising 2θ:
2θ/deg	d [Å]	intensity
17.0	5.213	96.5
21.1	4.203	100.0
25.1	3.551	50.3
29.7	3.010	98.0
30.5	2.935	45.8
39.2	2.296	91.2
59.2	1.561	26.6
60.5	1.529	24.9

Crystal structure
abc: 6.020 6.020 7.103
angles: 90.00 90.00 120.00
Positions (direct):
Sr  0.333  0.667  0.250
Sr  0.667  0.333  0.750
Mg  0.333  0.667  0.750
Mg  0.667  0.333  0.250

Calculated powder X-ray diffraction pattern of SrMg6Ti for Cu Kα, from a crystal structure in the Materials Project, relaxed with PBE.

The 8 most intense peaks (2θ from 5° to 70°), in order of rising 2θ:
2θ/deg	d [Å]	intensity
18.9	4.685	19.5
27.2	3.274	14.0
33.4	2.684	100.0
38.4	2.342	32.2
39.4	2.289	16.3
56.2	1.637	20.3
66.3	1.409	21.3
67.6	1.386	11.8

Crystal structure
abc: 6.625 6.625 4.578
angles: 90.00 90.00 90.00
Positions (direct):
Sr  0.000  0.000  0.000
Mg  0.000  0.500  0.000
Mg  0.277  0.277  0.500
Mg  0.277  0.723  0.500
Mg  0.500  0.000  0.000
Mg  0.723  0.277  0.500
Mg  0.723  0.723  0.500
Ti  0.500  0.500  0.000

Calculated powder X-ray diffraction pattern of SrMg6Ti for Cu Kα, from a crystal structure in the Materials Project, relaxed with PBE.

The 8 most intense peaks (2θ from 5° to 70°), in order of rising 2θ:
2θ/deg	d [Å]	intensity
15.3	5.793	29.1
22.9	3.880	18.3
30.9	2.896	18.5
31.2	2.865	17.4
34.3	2.612	34.4
35.4	2.533	100.0
35.7	2.512	37.5
62.2	1.493	18.1

Crystal structure
abc: 5.225 6.714 11.460
angles: 90.00 90.00 90.00
Positions (direct):
Sr  0.000  0.000  0.000
Sr  0.000  0.500  0.500
Mg  0.000  0.000  0.506
Mg  0.000  0.230  0.251
Mg  0.000  0.270  0.751
Mg  0.000  0.500  0.006
Mg  0.000  0.730  0.751
Mg  0.000  0.770  0.251
Mg  0.500  0.000  0.679
Mg  0.500  0.233  0.420
Mg  0.500  0.267  0.920
Mg  0.500  0.500  0.179
Mg  0.500  0.733  0.920
Mg  0.500  0.767  0.420
Ti  0.500  0.000  0.190
Ti  0.500  0.500  0.690

Calculated powder X-ray diffraction pattern of SrMg14V for Cu Kα, from a crystal structure in the Materials Project, relaxed with PBE.

The 8 most intense peaks (2θ from 5° to 70°), in order of rising 2θ:
2θ/deg	d [Å]	intensity
8.5	10.432	27.2
31.7	2.820	27.0
34.4	2.608	38.0
36.0	2.493	52.1
36.2	2.481	100.0
56.3	1.635	17.6
62.8	1.480	18.9
67.6	1.385	19.2

Crystal structure
abc: 10.432 6.541 6.541
angles: 59.57 90.00 90.00
Positions (direct):
Sr  0.000  0.000  0.000
Mg  0.000  0.008  0.496
Mg  0.000  0.496  0.008
Mg  0.240  0.662  0.662
Mg  0.256  0.175  0.653
Mg  0.256  0.653  0.175
Mg  0.263  0.169  0.169
Mg  0.500  0.500  0.500
Mg  0.500  0.501  0.997
Mg  0.500  0.997  0.501
Mg  0.500  0.998  0.998
Mg  0.737  0.169  0.169
Mg  0.744  0.175  0.653
Mg  0.744  0.653  0.175
Mg  0.760  0.662  0.662
V  0.000  0.496  0.496

Calculated powder X-ray diffraction pattern of SrMg14V for Cu Kα, from a crystal structure in the Materials Project, relaxed with PBE.

The 8 most intense peaks (2θ from 5° to 70°), in order of rising 2θ:
2θ/deg	d [Å]	intensity
15.7	5.652	15.7
31.7	2.826	26.4
34.6	2.593	24.0
36.2	2.481	100.0
47.6	1.910	15.9
56.4	1.632	17.5
63.0	1.475	17.3
67.9	1.381	18.4

Crystal structure
abc: 6.526 6.526 10.370
angles: 90.00 90.00 120.00
Positions (direct):
Sr  0.000  0.000  0.000
Mg  0.011  0.506  0.000
Mg  0.168  0.336  0.266
Mg  0.168  0.336  0.734
Mg  0.168  0.832  0.266
Mg  0.168  0.832  0.734
Mg  0.494  0.506  0.000
Mg  0.494  0.989  0.000
Mg  0.501  0.002  0.500
Mg  0.501  0.499  0.500
Mg  0.664  0.832  0.266
Mg  0.664  0.832  0.734
Mg  0.667  0.333  0.243
Mg  0.667  0.333  0.757
Mg  0.998  0.499  0.500
V  0.000  0.000  0.500

Calculated powder X-ray diffraction pattern of SrYMg14 for Cu Kα, from a crystal structure in the Materials Project, relaxed with PBE.

The 8 most intense peaks (2θ from 5° to 70°), in order of rising 2θ:
2θ/deg	d [Å]	intensity
8.4	10.586	29.0
31.1	2.877	27.7
33.9	2.646	24.6
35.5	2.528	100.0
46.6	1.948	17.3
55.3	1.661	17.5
61.7	1.504	20.5
66.4	1.407	19.1

Crystal structure
abc: 10.586 6.643 6.643
angles: 60.07 90.00 90.00
Positions (direct):
Sr  0.000  0.000  0.000
Y  0.000  0.497  0.497
Mg  0.000  0.003  0.503
Mg  0.000  0.503  0.003
Mg  0.251  0.669  0.669
Mg  0.258  0.173  0.173
Mg  0.262  0.171  0.660
Mg  0.262  0.660  0.171
Mg  0.500  0.000  0.501
Mg  0.500  0.002  0.002
Mg  0.500  0.501  0.000
Mg  0.500  0.503  0.503
Mg  0.738  0.171  0.660
Mg  0.738  0.660  0.171
Mg  0.742  0.173  0.173
Mg  0.749  0.669  0.669

Calculated powder X-ray diffraction pattern of SrYMg14 for Cu Kα, from a crystal structure in the Materials Project, relaxed with PBE.

The 8 most intense peaks (2θ from 5° to 70°), in order of rising 2θ:
2θ/deg	d [Å]	intensity
15.3	5.795	25.6
22.8	3.900	25.2
30.9	2.898	27.8
34.0	2.637	24.3
35.3	2.539	100.0
54.9	1.673	17.5
61.7	1.503	18.5
66.2	1.413	19.4

Crystal structure
abc: 6.692 6.692 10.547
angles: 90.00 90.00 120.00
Positions (direct):
Sr  0.000  0.000  0.000
Y  0.000  0.000  0.500
Mg  0.006  0.503  0.500
Mg  0.008  0.504  0.000
Mg  0.173  0.345  0.255
Mg  0.173  0.345  0.745
Mg  0.173  0.827  0.255
Mg  0.173  0.827  0.745
Mg  0.496  0.504  0.000
Mg  0.496  0.992  0.000
Mg  0.497  0.503  0.500
Mg  0.497  0.994  0.500
Mg  0.655  0.827  0.255
Mg  0.655  0.827  0.745
Mg  0.667  0.333  0.249
Mg  0.667  0.333  0.751

Calculated powder X-ray diffraction pattern of SrMg14Zn for Cu Kα, from a crystal structure in the Materials Project, relaxed with PBE.

The 8 most intense peaks (2θ from 5° to 70°), in order of rising 2θ:
2θ/deg	d [Å]	intensity
15.7	5.627	21.4
23.1	3.845	18.5
31.8	2.814	26.8
34.0	2.633	24.9
36.2	2.482	100.0
56.7	1.624	17.2
62.3	1.489	17.4
67.8	1.383	18.5

Crystal structure
abc: 6.498 6.498 10.533
angles: 90.00 90.00 120.00
Positions (direct):
Sr  0.000  0.000  0.000
Mg  0.013  0.507  0.000
Mg  0.167  0.334  0.267
Mg  0.167  0.334  0.733
Mg  0.167  0.833  0.267
Mg  0.167  0.833  0.733
Mg  0.493  0.507  0.000
Mg  0.493  0.987  0.000
Mg  0.502  0.005  0.500
Mg  0.502  0.498  0.500
Mg  0.666  0.833  0.267
Mg  0.666  0.833  0.733
Mg  0.667  0.333  0.244
Mg  0.667  0.333  0.756
Mg  0.995  0.498  0.500
Zn  0.000  0.000  0.500